The following is a simulated XRD peak list of AlZnFe6. It was derived from a crystal structure in Alexandria, relaxed with GGA-PBE, using Cu Kα.
Kinematic intensities with the Lorentz-polarization factor, no thermal factor.

Atomic structure:
```
AlZnFe6
1.0
4.1566 0.0000 0.0000
0.0000 5.4397 0.0000
0.0000 0.0000 8.5838
Al Zn Fe
2 2 12
Direct
0.0000 0.0000 0.0000 Al
0.0000 0.5000 0.5000 Al
0.5000 0.0000 0.6957 Zn
0.5000 0.5000 0.1957 Zn
0.0000 0.0000 0.4906 Fe
0.0000 0.2430 0.2496 Fe
0.0000 0.2570 0.7496 Fe
0.0000 0.5000 0.9906 Fe
0.0000 0.7430 0.7496 Fe
0.0000 0.7570 0.2496 Fe
0.5000 0.0000 0.2035 Fe
0.5000 0.2421 0.4457 Fe
0.5000 0.2579 0.9457 Fe
0.5000 0.5000 0.7035 Fe
0.5000 0.7421 0.9457 Fe
0.5000 0.7579 0.4457 Fe
```

The 10 most intense peaks (15° ≤ 2θ ≤ 90°), by angle:
- 2θ = 39.2°, I 8.6
- 2θ = 42.1°, I 22.5
- 2θ = 43.5°, I 30.9
- 2θ = 45.1°, I 100.0
- 2θ = 47.7°, I 16.0
- 2θ = 62.2°, I 12.9
- 2θ = 69.1°, I 6.9
- 2θ = 75.0°, I 6.8
- 2θ = 81.0°, I 15.6
- 2θ = 85.3°, I 7.4